1.
Computed powder diffraction line list
Compound: Ba2SnPb4
Radiation: Cu Kα, 1.54184 Å
Structure: DFT lattice parameters and positions (GGA-PBE)
No peak broadening, texture or thermal motion is included.

Top 10 peaks for 5° ≤ 2θ ≤ 70°, in order of rising 2θ:
- (1 0 -2), 18.81 deg, I 201
- (2 0 -2), 28.45 deg, I 1000
- (0 2 2), 30.07 deg, I 467
- (1 2 1), 30.60 deg, I 442
- (1 0 3), 31.35 deg, I 867
- (1 2 -3), 35.92 deg, I 222
- (2 2 -1), 36.75 deg, I 203
- (2 2 0), 37.30 deg, I 277
- (0 4 0), 51.05 deg, I 219
- (3 1 -5), 54.08 deg, I 206

Structure:
Unit cell a=6.7164 b=7.1562 c=11.0019 alpha=90.00 beta=103.71 gamma=90.00
Space group P2_1/m (No. 11)
Symmetry-distinct sites (fractional):
Ba (0.1198, 0.2500, 0.4064)
Ba (0.2848, 0.7500, 0.0090)
Sn (0.1368, 0.2500, 0.8284)
Pb (0.2551, 0.2500, 0.1163)
Pb (0.2722, 0.7500, 0.3957)
Pb (0.3977, 0.5099, 0.6961)

---

2.
Computed powder diffraction line list
Compound: BaSn9Pb2
Radiation: Cu Kα, 1.54184 Å
Structure: DFT lattice parameters and positions (GGA-PBE)
No peak broadening, texture or thermal motion is included.

Top 10 peaks for 5° ≤ 2θ ≤ 70°, in order of rising 2θ:
- (1 0 7), 25.58 deg, I 181
- (1 1 0), 27.74 deg, I 312
- (0 1 8), 27.90 deg, I 207
- (0 2 1), 32.26 deg, I 278
- (1 1 6), 32.72 deg, I 1000
- (0 2 4), 34.17 deg, I 177
- (0 0 12), 34.44 deg, I 176
- (2 0 5), 35.28 deg, I 253
- (0 3 6), 52.32 deg, I 361
- (2 2 0), 57.29 deg, I 257

Structure:
Unit cell a=6.4330 b=6.4330 c=31.2477 alpha=90.00 beta=90.00 gamma=120.00
Space group R-3m (No. 166, hexagonal axes)
Symmetry-distinct sites (fractional):
Ba (0.0000, 0.0000, 0.0000)
Sn (0.0000, 0.0000, 0.3376)
Sn (0.0000, 0.0000, 0.5000)
Sn (0.0104, 0.5052, 0.9144)
Pb (0.0000, 0.0000, 0.1438)

---

3.
Computed powder diffraction line list
Compound: Ba4Sn2Pb5
Radiation: Cu Kα, 1.54184 Å
Structure: DFT lattice parameters and positions (GGA-PBE)
No peak broadening, texture or thermal motion is included.

Top 10 peaks for 5° ≤ 2θ ≤ 70°, in order of rising 2θ:
- (0 1 0), 22.92 deg, I 285
- (1 1 -2), 29.11 deg, I 604
- (1 1 2), 29.96 deg, I 488
- (3 0 -1), 30.35 deg, I 709
- (2 0 3), 31.95 deg, I 1000
- (1 0 -4), 32.04 deg, I 608
- (2 1 3), 39.74 deg, I 309
- (0 2 0), 46.84 deg, I 280
- (3 2 -1), 56.84 deg, I 247
- (2 2 3), 57.85 deg, I 484

Structure:
Unit cell a=8.9806 b=3.8793 c=11.4971 alpha=90.00 beta=94.52 gamma=90.00
Space group P2/m (No. 10)
Symmetry-distinct sites (fractional):
Ba (0.1669, 0.0000, 0.3840)
Ba (0.2848, 0.0000, 0.9368)
Sn (0.0568, 0.5000, 0.1271)
Pb (0.2072, 0.5000, 0.6671)
Pb (0.4272, 0.5000, 0.2088)
Pb (0.5000, 0.5000, 0.5000)

---

4.
Computed powder diffraction line list
Compound: BaSnTe4Pb2
Radiation: Cu Kα, 1.54184 Å
Structure: DFT lattice parameters and positions (GGA-PBE)
No peak broadening, texture or thermal motion is included.

Top 10 peaks for 5° ≤ 2θ ≤ 70°, in order of rising 2θ:
- (0 1 1), 11.49 deg, I 48
- (1 0 3), 22.11 deg, I 26
- (0 2 2), 23.11 deg, I 37
- (2 2 0), 26.74 deg, I 1000
- (4 0 0), 38.18 deg, I 780
- (2 4 2), 45.10 deg, I 25
- (4 0 4), 47.23 deg, I 283
- (4 4 0), 55.10 deg, I 134
- (6 2 0), 62.28 deg, I 368
- (6 2 4), 69.01 deg, I 271

Structure:
Unit cell a=9.4188 b=9.4346 c=13.3387 alpha=90.00 beta=90.00 gamma=90.00
Space group Imma (No. 74)
Symmetry-distinct sites (fractional):
Ba (0.2500, 0.2500, 0.2500)
Sn (0.0000, 0.0000, 0.0000)
Te (0.0000, 0.0127, 0.7529)
Te (0.2446, 0.2500, 0.9933)
Pb (0.0000, 0.0000, 0.5000)
Pb (0.2500, 0.2500, 0.7500)

---

5.
Computed powder diffraction line list
Compound: BaSr2Pb
Radiation: Cu Kα, 1.54184 Å
Structure: DFT lattice parameters and positions (GGA-PBE)
No peak broadening, texture or thermal motion is included.

Top 10 peaks for 5° ≤ 2θ ≤ 70°, in order of rising 2θ:
- (0 0 2), 13.28 deg, I 233
- (0 1 1), 15.62 deg, I 142
- (0 0 4), 26.75 deg, I 177
- (1 1 2), 28.01 deg, I 1000
- (0 2 0), 28.45 deg, I 385
- (1 1 4), 36.62 deg, I 260
- (0 2 4), 39.46 deg, I 136
- (2 0 0), 40.61 deg, I 260
- (1 3 2), 50.14 deg, I 203
- (2 2 0), 50.33 deg, I 191

Structure:
Unit cell a=4.4462 b=6.2688 c=13.3327 alpha=90.00 beta=90.00 gamma=90.00
Space group Immm (No. 71)
Symmetry-distinct sites (fractional):
Ba (0.0000, 0.0000, 0.0000)
Sr (0.0000, 0.5000, 0.1968)
Pb (0.0000, 0.0000, 0.5000)

---

6.
Computed powder diffraction line list
Compound: Ba2SrPb2
Radiation: Cu Kα, 1.54184 Å
Structure: DFT lattice parameters and positions (GGA-PBE)
No peak broadening, texture or thermal motion is included.

Top 10 peaks for 5° ≤ 2θ ≤ 70°, in order of rising 2θ:
- (0 0 2), 16.92 deg, I 272
- (1 0 1), 18.40 deg, I 264
- (1 1 2), 26.42 deg, I 629
- (0 2 2), 29.15 deg, I 417
- (1 2 1), 30.06 deg, I 1000
- (1 0 3), 30.43 deg, I 476
- (2 0 0), 32.99 deg, I 370
- (2 2 2), 44.60 deg, I 267
- (0 4 0), 48.25 deg, I 218
- (1 2 5), 52.73 deg, I 356

Structure:
Unit cell a=5.4297 b=7.5516 c=10.4773 alpha=90.00 beta=90.00 gamma=90.00
Space group Immm (No. 71)
Symmetry-distinct sites (fractional):
Ba (0.0000, 0.0000, 0.1940)
Sr (0.0000, 0.5000, 0.0000)
Pb (0.0000, 0.2826, 0.5000)

---

7.
Computed powder diffraction line list
Compound: Ba4TePb
Radiation: Cu Kα, 1.54184 Å
Structure: DFT lattice parameters and positions (GGA-PBE)
No peak broadening, texture or thermal motion is included.

Top 10 peaks for 5° ≤ 2θ ≤ 70°, in order of rising 2θ:
- (2 2 0), 24.81 deg, I 323
- (3 1 1), 29.18 deg, I 1000
- (2 2 2), 30.50 deg, I 340
- (4 2 2), 43.68 deg, I 146
- (5 1 1), 46.48 deg, I 371
- (4 4 0), 50.88 deg, I 312
- (6 2 0), 57.41 deg, I 66
- (5 3 3), 59.73 deg, I 132
- (6 2 2), 60.50 deg, I 143
- (6 4 2), 69.26 deg, I 75

Structure:
Unit cell a=10.1515 b=10.1515 c=10.1515 alpha=90.00 beta=90.00 gamma=90.00
Space group F-43m (No. 216)
Symmetry-distinct sites (fractional):
Ba (0.1253, 0.1253, 0.1253)
Te (0.0000, 0.0000, 0.5000)
Pb (0.2500, 0.2500, 0.7500)

---

8.
Computed powder diffraction line list
Compound: Ba3TlPb
Radiation: Cu Kα, 1.54184 Å
Structure: DFT lattice parameters and positions (GGA-PBE)
No peak broadening, texture or thermal motion is included.

Top 10 peaks for 5° ≤ 2θ ≤ 70°, in order of rising 2θ:
- (0 0 2), 17.58 deg, I 492
- (-1 1 1), 22.66 deg, I 251
- (0 2 -1), 23.01 deg, I 197
- (1 1 2), 26.05 deg, I 534
- (0 2 -2), 30.21 deg, I 188
- (1 2 -1), 31.14 deg, I 254
- (0 4 2), 31.67 deg, I 1000
- (1 2 3), 32.06 deg, I 220
- (1 1 -4), 45.98 deg, I 266
- (2 4 2), 53.59 deg, I 218

Structure:
Unit cell a=4.2933 b=11.3299 c=11.3320 alpha=62.96 beta=90.00 gamma=89.99
Space group P1 (No. 1)
Symmetry-distinct sites (fractional):
Ba (0.0000, 0.0000, 0.0000)
Ba (0.9999, 0.1638, 0.4154)
Ba (0.0013, 0.3738, 0.6267)
Ba (0.0012, 0.7901, 0.7884)
Ba (0.5005, 0.7309, 0.3570)
Ba (0.5008, 0.4331, 0.0587)
Tl (0.4998, 0.0820, 0.2076)
Tl (0.5015, 0.5817, 0.7079)
Pb (0.0007, 0.5817, 0.2082)
Pb (0.5007, 0.0819, 0.7077)

---

9.
Computed powder diffraction line list
Compound: Ba6TlPb5
Radiation: Cu Kα, 1.54184 Å
Structure: DFT lattice parameters and positions (GGA-PBE)
No peak broadening, texture or thermal motion is included.

Top 10 peaks for 5° ≤ 2θ ≤ 70°, in order of rising 2θ:
- (1 2 0), 28.80 deg, I 1000
- (1 2 -3), 32.11 deg, I 373
- (2 0 2), 35.79 deg, I 142
- (0 4 -2), 45.95 deg, I 72
- (2 0 -4), 46.15 deg, I 61
- (1 2 3), 48.84 deg, I 227
- (0 4 1), 55.16 deg, I 162
- (1 2 -6), 55.30 deg, I 142
- (2 4 0), 59.57 deg, I 66
- (2 0 5), 60.10 deg, I 91

Structure:
Unit cell a=6.3767 b=7.9001 c=10.1292 alpha=112.92 beta=95.13 gamma=90.01
Space group P-1 (No. 2)
Symmetry-distinct sites (fractional):
Ba (0.0002, 0.2469, 0.0003)
Ba (0.3533, 0.0833, 0.6701)
Ba (0.3528, 0.5868, 0.6696)
Tl (0.5000, 0.5000, 0.0000)
Pb (0.1433, 0.6734, 0.3450)
Pb (0.1457, 0.1733, 0.3479)
Pb (0.5000, 0.0000, 0.0000)

---

10.
Computed powder diffraction line list
Compound: BaTl12Pb4
Radiation: Cu Kα, 1.54184 Å
Structure: DFT lattice parameters and positions (GGA-PBE)
No peak broadening, texture or thermal motion is included.

Top 10 peaks for 5° ≤ 2θ ≤ 70°, in order of rising 2θ:
- (1 2 2), 27.52 deg, I 620
- (4 0 1), 28.77 deg, I 1000
- (4 1 0), 30.71 deg, I 843
- (0 0 3), 31.73 deg, I 426
- (2 -1 3), 33.85 deg, I 192
- (0 4 2), 34.24 deg, I 698
- (0 5 1), 35.27 deg, I 203
- (6 -2 2), 41.70 deg, I 328
- (5 -4 3), 44.74 deg, I 267
- (4 5 2), 58.23 deg, I 205

Structure:
Unit cell a=15.4057 b=15.4057 c=8.4598 alpha=90.00 beta=90.00 gamma=120.00
Space group R-3 (No. 148, hexagonal axes)
Symmetry-distinct sites (fractional):
Ba (0.0000, 0.0000, 0.0000)
Tl (0.0124, 0.7827, 0.5526)
Tl (0.0730, 0.8442, 0.1853)
Pb (0.0000, 0.0000, 0.5000)
Pb (0.0000, 0.5000, 0.5000)

---

11.
Computed powder diffraction line list
Compound: BaTl4Pb15
Radiation: Cu Kα, 1.54184 Å
Structure: DFT lattice parameters and positions (GGA-PBE)
No peak broadening, texture or thermal motion is included.

Top 10 peaks for 5° ≤ 2θ ≤ 70°, in order of rising 2θ:
- (0 0 2), 7.19 deg, I 8
- (1 1 5), 30.72 deg, I 1000
- (1 1 6), 33.07 deg, I 8
- (2 0 0), 35.15 deg, I 358
- (0 0 10), 36.55 deg, I 153
- (2 2 0), 50.56 deg, I 130
- (2 0 10), 51.61 deg, I 232
- (3 1 5), 60.34 deg, I 305
- (1 1 15), 62.20 deg, I 125
- (2 2 10), 63.99 deg, I 124

Structure:
Unit cell a=5.1056 b=5.1056 c=24.5876 alpha=90.00 beta=90.00 gamma=90.00
Space group P4/mmm (No. 123)
Symmetry-distinct sites (fractional):
Ba (0.0000, 0.0000, 0.0000)
Tl (0.0000, 0.0000, 0.2030)
Tl (0.0000, 0.0000, 0.4008)
Pb (0.0000, 0.5000, 0.1070)
Pb (0.0000, 0.5000, 0.3015)
Pb (0.0000, 0.5000, 0.5000)
Pb (0.5000, 0.5000, 0.0000)
Pb (0.5000, 0.5000, 0.2047)
Pb (0.5000, 0.5000, 0.4003)

---

12.
Computed powder diffraction line list
Compound: Ba3Tl7Pb2
Radiation: Cu Kα, 1.54184 Å
Structure: DFT lattice parameters and positions (GGA-PBE)
No peak broadening, texture or thermal motion is included.

Top 10 peaks for 5° ≤ 2θ ≤ 70°, in order of rising 2θ:
- (0 1 1), 16.18 deg, I 300
- (-1 1 2), 23.89 deg, I 287
- (0 2 -2), 27.23 deg, I 310
- (-1 1 3), 28.57 deg, I 308
- (1 1 1), 28.77 deg, I 1000
- (0 2 -3), 29.94 deg, I 279
- (1 -2 3), 31.78 deg, I 465
- (1 -1 4), 32.89 deg, I 306
- (1 1 -4), 34.41 deg, I 304
- (-1 2 3), 36.34 deg, I 311

Structure:
Unit cell a=4.9987 b=7.2181 c=13.4272 alpha=101.08 beta=92.71 gamma=108.66
Space group P-1 (No. 2)
Symmetry-distinct sites (fractional):
Ba (0.0000, 0.0000, 0.0000)
Ba (0.1660, 0.3024, 0.5987)
Tl (0.1531, 0.3250, 0.3300)
Tl (0.1942, 0.6651, 0.1727)
Tl (0.4855, 0.9454, 0.6320)
Tl (0.5000, 0.5000, 0.0000)
Pb (0.3835, 0.7400, 0.8276)